[1]
For CaFeRu, a structure optimized by DFT (PBE) gives the calculated powder XRD pattern in this record (CuKα).
Kinematic intensities with the Lorentz-polarization factor, no thermal factor.

Structure:
abc: 5.2954 5.2954 5.2954
angles: 120.41 120.16 89.51
Fractional positions:
Ca: 0.3733 0.1233 0.2500
Ca: 0.6267 0.8767 0.7500
Fe: 0.0000 0.5000 0.5000
Fe: 0.5000 0.5000 0.0000
Ru: 0.0000 0.0000 0.5000
Ru: 0.0000 0.5000 0.0000

Peak list (10 most intense, 10° ≤ 2θ ≤ 80°, by angle)
2θ 20.55, I 70.0; 2θ 33.90, I 23.0; 2θ 39.81, I 51.3; 2θ 40.09, I 100.0; 2θ 41.79, I 45.3; 2θ 41.90, I 46.0; 2θ 48.85, I 16.0; 2θ 64.41, I 11.4; 2θ 64.91, I 18.9; 2θ 71.23, I 27.1

***

[2]
For Tb5Pr2In5, a structure optimized by DFT (PBE) gives the calculated powder XRD pattern in this record (CuKα).
Kinematic intensities with the Lorentz-polarization factor, no thermal factor.

Structure:
abc: 6.5191 6.5191 12.0572
angles: 107.03 107.03 46.54
Fractional positions:
Tb: 0.0000 0.0000 0.0000
Tb: 0.1312 0.1312 0.7794
Tb: 0.1518 0.1518 0.5048
Tb: 0.8482 0.8482 0.4952
Tb: 0.8688 0.8688 0.2206
Pr: 0.4282 0.4282 0.7442
Pr: 0.5718 0.5718 0.2558
In: 0.2482 0.2482 0.2826
In: 0.3278 0.3278 0.0335
In: 0.5000 0.5000 0.5000
In: 0.6722 0.6722 0.9665
In: 0.7518 0.7518 0.7174

Peak list (10 most intense, 10° ≤ 2θ ≤ 80°, by angle)
2θ 31.31, I 49.9; 2θ 32.27, I 99.2; 2θ 32.56, I 100.0; 2θ 34.54, I 11.6; 2θ 34.84, I 52.7; 2θ 45.46, I 17.1; 2θ 47.53, I 31.1; 2θ 58.50, I 12.4; 2θ 60.85, I 16.4; 2θ 61.03, I 17.9

***

[3]
For Tb5NiTe5, a structure optimized by DFT (PBE) gives the calculated powder XRD pattern in this record (CuKα).
Kinematic intensities with the Lorentz-polarization factor, no thermal factor.

Structure:
abc: 7.5329 7.5329 8.5190
angles: 107.84 107.84 48.23
Fractional positions:
Tb: 0.0000 0.0000 0.0000
Tb: 0.3434 0.3434 0.1558
Tb: 0.3567 0.3567 0.7064
Tb: 0.6433 0.6433 0.2936
Tb: 0.6566 0.6566 0.8442
Ni: 0.5000 0.5000 0.0000
Te: 0.1640 0.1640 0.8199
Te: 0.1797 0.1797 0.3398
Te: 0.5000 0.5000 0.5000
Te: 0.8203 0.8203 0.6602
Te: 0.8360 0.8360 0.1801

Peak list (10 most intense, 10° ≤ 2θ ≤ 80°, by angle)
2θ 29.03, I 100.0; 2θ 29.88, I 40.9; 2θ 41.52, I 37.0; 2θ 41.85, I 14.9; 2θ 42.13, I 32.1; 2θ 42.46, I 15.5; 2θ 51.72, I 16.0; 2θ 52.24, I 19.0; 2θ 60.16, I 11.8; 2θ 68.17, I 18.6

***

[4]
For BaSr3Lu2Bi2O12, a structure optimized by DFT (PBE) gives the calculated powder XRD pattern in this record (CuKα).
Kinematic intensities with the Lorentz-polarization factor, no thermal factor.

Structure:
abc: 5.9654 6.0255 8.4637
angles: 89.97 89.91 89.93
Fractional positions:
Ba: 0.0000 0.0000 0.0000
Sr: 0.0151 0.0642 0.4996
Sr: 0.5002 0.5550 0.4995
Sr: 0.5176 0.4851 0.9998
Lu: 0.0063 0.5252 0.2520
Lu: 0.5069 0.0215 0.7470
Bi: 0.0060 0.5248 0.7474
Bi: 0.5069 0.0209 0.2536
O: 0.0897 0.5288 0.9957
O: 0.2141 0.8074 0.7037
O: 0.2215 0.8128 0.2958
O: 0.2855 0.3084 0.7028
O: 0.2937 0.3022 0.2976
O: 0.4474 0.0523 0.0040
O: 0.5933 0.9888 0.4974
O: 0.7089 0.7330 0.2073
O: 0.7187 0.7291 0.7934
O: 0.7846 0.2400 0.2209
O: 0.7891 0.2460 0.7823
O: 0.9233 0.5015 0.5027

Peak list (10 most intense, 10° ≤ 2θ ≤ 80°, by angle)
2θ 20.97, I 26.5; 2θ 29.65, I 24.6; 2θ 29.83, I 100.0; 2θ 29.96, I 24.2; 2θ 42.66, I 25.7; 2θ 42.73, I 13.3; 2θ 52.73, I 19.5; 2θ 53.07, I 22.5; 2θ 53.14, I 11.5; 2θ 61.95, I 11.6

***

[5]
For YEr8Tm2, a structure optimized by DFT (PBE) gives the calculated powder XRD pattern in this record (CuKα).
Kinematic intensities with the Lorentz-polarization factor, no thermal factor.

Structure:
abc: 9.2091 9.2091 9.2091
angles: 145.74 127.89 63.86
Fractional positions:
Y: 0.0000 0.0000 0.0000
Er: 0.1547 0.8606 0.2941
Er: 0.1614 0.6614 0.5000
Er: 0.2957 0.5000 0.7957
Er: 0.4335 0.1394 0.2941
Er: 0.5665 0.8606 0.7059
Er: 0.7043 0.5000 0.2043
Er: 0.8386 0.3386 0.5000
Er: 0.8453 0.1394 0.7059
Tm: 0.2986 0.2986 0.0000
Tm: 0.7014 0.7014 0.0000

Peak list (10 most intense, 10° ≤ 2θ ≤ 80°, by angle)
2θ 24.78, I 12.1; 2θ 30.27, I 25.7; 2θ 32.52, I 100.0; 2θ 33.04, I 53.4; 2θ 33.73, I 11.4; 2θ 34.42, I 14.0; 2θ 58.66, I 18.7; 2θ 62.96, I 13.4; 2θ 64.11, I 12.0; 2θ 64.68, I 13.2

***

[6]
For MnS4Br, a structure optimized by DFT (PBE) gives the calculated powder XRD pattern in this record (CuKα).
Kinematic intensities with the Lorentz-polarization factor, no thermal factor.

Structure:
abc: 6.1852 7.5220 7.6804
angles: 60.89 78.65 65.98
Fractional positions:
Mn: 0.2500 0.0009 0.4981
Mn: 0.7500 0.9991 0.5019
S: 0.0273 0.8233 0.7551
S: 0.1064 0.8471 0.3701
S: 0.3933 0.2821 0.3693
S: 0.4732 0.9240 0.7549
S: 0.5268 0.0760 0.2451
S: 0.6067 0.7179 0.6307
S: 0.8936 0.1529 0.6299
S: 0.9727 0.1767 0.2449
Br: 0.2505 0.3681 0.7655
Br: 0.7495 0.6319 0.2345

Peak list (10 most intense, 10° ≤ 2θ ≤ 80°, by angle)
2θ 13.19, I 100.0; 2θ 14.48, I 70.6; 2θ 17.08, I 29.9; 2θ 20.55, I 28.4; 2θ 23.73, I 33.1; 2θ 25.94, I 37.0; 2θ 27.69, I 32.4; 2θ 29.64, I 35.1; 2θ 38.21, I 29.4; 2θ 44.25, I 46.7

***

[7]
For CaTb2Y7, a structure optimized by DFT (PBE) gives the calculated powder XRD pattern in this record (CuKα).
Kinematic intensities with the Lorentz-polarization factor, no thermal factor.

Structure:
abc: 6.2202 6.2230 9.5207
angles: 71.11 71.07 80.36
Fractional positions:
Ca: 0.0000 0.0000 0.0000
Tb: 0.4921 0.0996 0.3039
Tb: 0.5079 0.9004 0.6961
Y: 0.0003 0.2028 0.5950
Y: 0.0004 0.3944 0.2055
Y: 0.9996 0.6056 0.7945
Y: 0.9997 0.7972 0.4050
Y: 0.4988 0.3112 0.8969
Y: 0.5000 0.5000 0.5000
Y: 0.5012 0.6888 0.1031

Peak list (10 most intense, 10° ≤ 2θ ≤ 80°, by angle)
2θ 15.09, I 4.4; 2θ 15.61, I 3.5; 2θ 30.44, I 100.0; 2θ 35.16, I 16.8; 2θ 35.36, I 33.2; 2θ 50.72, I 23.1; 2θ 50.87, I 11.7; 2θ 60.17, I 13.6; 2θ 60.44, I 27.0; 2θ 63.32, I 9.0

***

[8]
For Tb12PrTm5, a structure optimized by DFT (PBE) gives the calculated powder XRD pattern in this record (CuKα).
Kinematic intensities with the Lorentz-polarization factor, no thermal factor.

Structure:
abc: 10.6434 10.6434 5.0161
angles: 90.00 90.00 90.09
Fractional positions:
Tb: 0.0008 0.6685 0.5000
Tb: 0.1653 0.1653 0.0000
Tb: 0.1653 0.5008 0.0000
Tb: 0.3320 0.3320 0.5000
Tb: 0.3315 0.9992 0.5000
Tb: 0.4992 0.8347 0.0000
Tb: 0.5008 0.1653 0.0000
Tb: 0.6685 0.0008 0.5000
Tb: 0.6680 0.6680 0.5000
Tb: 0.8347 0.4992 0.0000
Tb: 0.8347 0.8347 0.0000
Tb: 0.9992 0.3315 0.5000
Pr: 0.5000 0.5000 0.0000
Tm: 0.0000 0.0000 0.5000
Tm: 0.1664 0.8336 0.0000
Tm: 0.3314 0.6686 0.5000
Tm: 0.6686 0.3314 0.5000
Tm: 0.8336 0.1664 0.0000

Peak list (7 most intense, 10° ≤ 2θ ≤ 80°, by angle)
2θ 30.87, I 100.0; 2θ 35.80, I 50.6; 2θ 51.52, I 36.0; 2θ 61.28, I 42.7; 2θ 64.32, I 12.3; 2θ 75.82, I 3.8; 2θ 75.92, I 1.9

***

What did the fifth record say?
For YEr8Tm2, a structure optimized by DFT (PBE) gives the calculated powder XRD pattern in this record (CuKα).
Kinematic intensities with the Lorentz-polarization factor, no thermal factor.

Structure:
abc: 9.2091 9.2091 9.2091
angles: 145.74 127.89 63.86
Fractional positions:
Y: 0.0000 0.0000 0.0000
Er: 0.1547 0.8606 0.2941
Er: 0.1614 0.6614 0.5000
Er: 0.2957 0.5000 0.7957
Er: 0.4335 0.1394 0.2941
Er: 0.5665 0.8606 0.7059
Er: 0.7043 0.5000 0.2043
Er: 0.8386 0.3386 0.5000
Er: 0.8453 0.1394 0.7059
Tm: 0.2986 0.2986 0.0000
Tm: 0.7014 0.7014 0.0000

Peak list (10 most intense, 10° ≤ 2θ ≤ 80°, by angle)
2θ 24.78, I 12.1; 2θ 30.27, I 25.7; 2θ 32.52, I 100.0; 2θ 33.04, I 53.4; 2θ 33.73, I 11.4; 2θ 34.42, I 14.0; 2θ 58.66, I 18.7; 2θ 62.96, I 13.4; 2θ 64.11, I 12.0; 2θ 64.68, I 13.2

***

Q: Which formula does entry 3 have?
A: Tb5NiTe5